(1)
# Ba3Y2Cl12
Calculated powder X-ray diffraction pattern, CuKα. Input: a crystal structure in the Materials Project, relaxed with PBE.

Main lines, in order of rising 2θ (5 to 70 degrees two-theta):
(hkl), two_theta, Rel. int.
1 1 -1, 10.85, 22
2 2 -1, 20.73, 100
0 2 3, 22.15, 97
4 0 -2, 34.39, 37
2 4 2, 34.73, 67
2 4 -4, 35.23, 65
0 0 6, 37.90, 27
2 6 -1, 39.93, 19
0 6 3, 40.72, 19
2 2 -7, 44.02, 19

Structural model:
```
data_Ba3Y2Cl12
_symmetry_space_group_name_H-M 'C 1 2/c 1'
_symmetry_Int_Tables_number 15
_cell_length_a 10.4337
_cell_length_b 15.0266
_cell_length_c 15.0451
_cell_angle_alpha 90.00
_cell_angle_beta 108.79
_cell_angle_gamma 90.00
loop_
_symmetry_equiv_pos_as_xyz
'x,y,z'
'-x,-y,-z'
'-x,y,-z+1/2'
'x,-y,z+1/2'
'x+1/2,y+1/2,z'
'-x+1/2,-y+1/2,-z'
'-x+1/2,y+1/2,-z+1/2'
'x+1/2,-y+1/2,z+1/2'
loop_
_atom_site_label
_atom_site_type_symbol
_atom_site_fract_x
_atom_site_fract_y
_atom_site_fract_z
Ba1 Ba 0.0000 0.1304 0.2500
Ba2 Ba 0.1687 0.3829 0.0724
Y1 Y 0.1984 0.1361 0.5934
Cl1 Cl 0.0586 0.2011 0.9325
Cl2 Cl 0.0816 0.4809 0.4014
Cl3 Cl 0.1003 0.2622 0.4275
Cl4 Cl 0.1131 0.0346 0.4415
Cl5 Cl 0.1991 0.0219 0.7279
Cl6 Cl 0.2426 0.2549 0.2540
```


(2)
# Ba2YCl7
Calculated powder X-ray diffraction pattern, CuKα. Input: a crystal structure in the Materials Project, relaxed with PBE.

Main lines, in order of rising 2θ (5 to 70 degrees two-theta):
(hkl), two_theta, Rel. int.
0 2 0, 15.88, 91
0 2 1, 17.26, 84
2 0 -2, 20.43, 70
2 1 -2, 21.94, 70
1 1 2, 22.71, 90
1 0 -4, 24.14, 77
0 2 4, 31.63, 74
3 1 -4, 33.67, 84
3 1 0, 35.28, 100
1 4 1, 35.85, 71

Structural model:
```
data_Ba2YCl7
_symmetry_space_group_name_H-M 'P 1 21/c 1'
_symmetry_Int_Tables_number 14
_cell_length_a 8.8046
_cell_length_b 11.1627
_cell_length_c 14.7456
_cell_angle_alpha 90.00
_cell_angle_beta 117.10
_cell_angle_gamma 90.00
loop_
_symmetry_equiv_pos_as_xyz
'x,y,z'
'-x,-y,-z'
'-x,y+1/2,-z+1/2'
'x,-y+1/2,z+1/2'
loop_
_atom_site_label
_atom_site_type_symbol
_atom_site_fract_x
_atom_site_fract_y
_atom_site_fract_z
Ba1 Ba 0.1341 0.2167 0.2963
Ba2 Ba 0.2662 0.7057 0.0310
Y1 Y 0.4540 0.0891 0.1317
Cl1 Cl 0.0466 0.5548 0.8462
Cl2 Cl 0.1228 0.1588 0.0804
Cl3 Cl 0.2487 0.6994 0.2399
Cl4 Cl 0.2888 0.5326 0.4495
Cl5 Cl 0.4242 0.2110 0.5233
Cl6 Cl 0.4335 0.0573 0.3088
Cl7 Cl 0.4413 0.1337 0.8072
```


(3)
# Ba2Y5Cl19
Calculated powder X-ray diffraction pattern, CuKα. Input: a crystal structure in the Materials Project, relaxed with PBE.

Main lines, in order of rising 2θ (5 to 70 degrees two-theta):
(hkl), two_theta, Rel. int.
0 1 4, 15.01, 42
1 1 -2, 15.46, 33
1 1 1, 16.20, 62
1 1 -3, 16.35, 82
0 1 5, 17.41, 100
1 1 -4, 17.65, 26
2 0 -2, 23.93, 46
0 2 9, 32.70, 28
0 2 10, 35.24, 29
1 3 7, 39.10, 26

Structural model:
```
data_Ba2Y5Cl19
_symmetry_space_group_name_H-M 'P 1 21/c 1'
_symmetry_Int_Tables_number 14
_cell_length_a 7.4477
_cell_length_b 9.3934
_cell_length_c 31.1222
_cell_angle_alpha 90.00
_cell_angle_beta 102.82
_cell_angle_gamma 90.00
loop_
_symmetry_equiv_pos_as_xyz
'x,y,z'
'-x,-y,-z'
'-x,y+1/2,-z+1/2'
'x,-y+1/2,z+1/2'
loop_
_atom_site_label
_atom_site_type_symbol
_atom_site_fract_x
_atom_site_fract_y
_atom_site_fract_z
Ba1 Ba 0.1871 0.0192 0.2067
Y1 Y 0.0711 0.6675 0.0691
Y2 Y 0.3763 0.6407 0.8641
Y3 Y 0.5000 0.0000 0.0000
Cl1 Cl 0.0000 0.0000 0.5000
Cl2 Cl 0.1016 0.5359 0.8960
Cl3 Cl 0.1597 0.7317 0.6488
Cl4 Cl 0.1614 0.6848 0.3071
Cl5 Cl 0.2358 0.1780 0.9582
Cl6 Cl 0.2469 0.6290 0.5345
Cl7 Cl 0.3196 0.0586 0.3031
Cl8 Cl 0.3522 0.2435 0.6676
Cl9 Cl 0.3932 0.5324 0.0843
Cl10 Cl 0.4231 0.6625 0.4287
```


(4)
# Ba2Y5Cl19
Calculated powder X-ray diffraction pattern, CuKα. Input: a crystal structure in the Materials Project, relaxed with PBE.

Main lines, in order of rising 2θ (5 to 70 degrees two-theta):
(hkl), two_theta, Rel. int.
1 1 1, 15.84, 37
1 1 -2, 16.13, 83
1 1 2, 16.86, 100
1 0 -5, 16.97, 45
1 1 -3, 17.28, 41
1 0 5, 18.69, 22
0 2 0, 23.93, 41
0 1 7, 24.22, 23
2 2 4, 34.09, 24
3 2 0, 38.17, 22

Structural model:
```
data_Ba2Y5Cl19
_symmetry_space_group_name_H-M 'P 1 21 1'
_symmetry_Int_Tables_number 4
_cell_length_a 9.1965
_cell_length_b 7.4374
_cell_length_c 29.7573
_cell_angle_alpha 90.00
_cell_angle_beta 96.00
_cell_angle_gamma 90.00
loop_
_symmetry_equiv_pos_as_xyz
'x,y,z'
'-x,y+1/2,-z'
loop_
_atom_site_label
_atom_site_type_symbol
_atom_site_fract_x
_atom_site_fract_y
_atom_site_fract_z
Ba1 Ba 0.2279 0.0000 0.2428
Ba2 Ba 0.2445 0.0758 0.6745
Y1 Y 0.1469 0.0206 0.8265
Y2 Y 0.1654 0.5481 0.4701
Y3 Y 0.1770 0.5291 0.0391
Y4 Y 0.4321 0.0562 0.3959
Y5 Y 0.4604 0.5358 0.8965
Cl1 Cl 0.0212 0.5299 0.3901
Cl2 Cl 0.0224 0.6812 0.2415
Cl3 Cl 0.0286 0.8118 0.0022
Cl4 Cl 0.0305 0.7198 0.7930
Cl5 Cl 0.0367 0.8503 0.4933
Cl6 Cl 0.0607 0.5457 0.1169
Cl7 Cl 0.1903 0.0550 0.3401
Cl8 Cl 0.2332 0.3366 0.8630
Cl9 Cl 0.3024 0.2394 0.4566
Cl10 Cl 0.3068 0.2316 0.0737
Cl11 Cl 0.3123 0.8437 0.8896
Cl12 Cl 0.3136 0.5451 0.5521
Cl13 Cl 0.3523 0.0156 0.7717
Cl14 Cl 0.3595 0.5074 0.9770
Cl15 Cl 0.3697 0.7410 0.4341
Cl16 Cl 0.3753 0.7470 0.0834
Cl17 Cl 0.4398 0.3993 0.6716
Cl18 Cl 0.4722 0.0551 0.1864
Cl19 Cl 0.4793 0.8575 0.6389
```


(5)
# BaY2Cl8
Calculated powder X-ray diffraction pattern, CuKα. Input: a crystal structure in the Materials Project, relaxed with PBE.

Main lines, in order of rising 2θ (5 to 70 degrees two-theta):
(hkl), two_theta, Rel. int.
1 1 0, 10.13, 92
3 1 -1, 18.07, 27
0 0 2, 19.45, 49
2 2 0, 20.35, 100
3 1 -2, 20.70, 32
5 1 -3, 31.48, 23
2 2 2, 32.46, 46
4 0 -4, 34.40, 25
0 4 2, 38.01, 27
0 6 1, 50.49, 22

Structural model:
```
data_BaY2Cl8
_symmetry_space_group_name_H-M 'C 1 2/c 1'
_symmetry_Int_Tables_number 15
_cell_length_a 16.4338
_cell_length_b 11.0687
_cell_length_c 10.5547
_cell_angle_alpha 90.00
_cell_angle_beta 120.13
_cell_angle_gamma 90.00
loop_
_symmetry_equiv_pos_as_xyz
'x,y,z'
'-x,-y,-z'
'-x,y,-z+1/2'
'x,-y,z+1/2'
'x+1/2,y+1/2,z'
'-x+1/2,-y+1/2,-z'
'-x+1/2,y+1/2,-z+1/2'
'x+1/2,-y+1/2,z+1/2'
loop_
_atom_site_label
_atom_site_type_symbol
_atom_site_fract_x
_atom_site_fract_y
_atom_site_fract_z
Ba1 Ba 0.0000 0.0309 0.2500
Y1 Y 0.2170 0.2742 0.7714
Cl1 Cl 0.0959 0.1161 0.5874
Cl2 Cl 0.1340 0.4662 0.6748
Cl3 Cl 0.1537 0.1714 0.9446
Cl4 Cl 0.1536 0.2128 0.2936
```